# Ni5Pd
Simulated PXRD pattern, Cu Kα (λ = 1.5418 Å). Input: DFT lattice parameters and positions (PBE).
Neutral-atom scattering factors, no anomalous dispersion.

Crystal structure
a b c (Å): 3.5875 7.6432 5.1297
angles (deg): 90.00 90.00 90.00
Element x y z (fractional)
Ni 0.2500 0.0781 0.1180
Ni 0.2500 0.0838 0.6344
Ni 0.2500 0.4162 0.6344
Ni 0.2500 0.4219 0.1180
Ni 0.2500 0.7500 0.1238
Ni 0.7500 0.2500 0.8762
Ni 0.7500 0.5781 0.8820
Ni 0.7500 0.5838 0.3656
Ni 0.7500 0.9162 0.3656
Ni 0.7500 0.9219 0.8820
Pd 0.2500 0.7500 0.6254
Pd 0.7500 0.2500 0.3746

Largest 12 diffraction maxima, in order of rising 2θ, 10 to 90 degrees two-theta:
2θ (°), I/Imax
20.9, 2
27.5, 4
29.1, 3
30.4, 2
32.6, 2
43.4, 100
43.6, 99
50.5, 62
50.9, 31
73.9, 9
74.5, 45
89.9, 22

=====

# BaPu4Ni3S12
Simulated PXRD pattern, Cu Kα (λ = 1.5418 Å). Input: DFT lattice parameters and positions (PBE).
Neutral-atom scattering factors, no anomalous dispersion.

Crystal structure
a b c (Å): 8.3475 8.3475 8.3475
angles (deg): 109.47 109.47 109.47
Element x y z (fractional)
Ba 0.0000 0.0000 0.0000
Pu 0.0000 0.0000 0.5000
Pu 0.0000 0.5000 0.0000
Pu 0.5000 0.0000 0.0000
Pu 0.5000 0.5000 0.5000
Ni 0.0000 0.5000 0.5000
Ni 0.5000 0.0000 0.5000
Ni 0.5000 0.5000 0.0000
S 0.1547 0.3265 0.4812
S 0.1547 0.6735 0.8283
S 0.1717 0.8453 0.3265
S 0.3265 0.1717 0.8453
S 0.3265 0.4812 0.1547
S 0.4812 0.1547 0.3265
S 0.5188 0.8453 0.6735
S 0.6735 0.5188 0.8453
S 0.6735 0.8283 0.1547
S 0.8283 0.1547 0.6735
S 0.8453 0.3265 0.1717
S 0.8453 0.6735 0.5188

Largest 12 diffraction maxima, in order of rising 2θ, 10 to 90 degrees two-theta:
2θ (°), I/Imax
18.4, 29
26.1, 100
29.3, 7
32.2, 8
37.3, 23
41.9, 22
46.1, 60
53.8, 14
60.8, 23
73.5, 23
82.5, 7
85.5, 17

=====

# B4Sb2H
Simulated PXRD pattern, Cu Kα (λ = 1.5418 Å). Input: DFT lattice parameters and positions (PBE).
Neutral-atom scattering factors, no anomalous dispersion.

Crystal structure
a b c (Å): 3.2895 3.2895 15.8861
angles (deg): 90.00 90.00 90.00
Element x y z (fractional)
B 0.0000 0.0000 0.1827
B 0.0000 0.0000 0.8173
B 0.0000 0.5000 0.0000
B 0.0000 0.5000 0.5000
B 0.5000 0.0000 0.0000
B 0.5000 0.0000 0.5000
B 0.5000 0.5000 0.3173
B 0.5000 0.5000 0.6827
Sb 0.0000 0.0000 0.3442
Sb 0.0000 0.0000 0.6558
Sb 0.5000 0.5000 0.1558
Sb 0.5000 0.5000 0.8442
H 0.0000 0.0000 0.0000
H 0.5000 0.5000 0.5000

Largest 12 diffraction maxima, in order of rising 2θ, 10 to 90 degrees two-theta:
2θ (°), I/Imax
11.1, 41
22.4, 30
27.7, 47
32.0, 100
33.9, 28
38.7, 36
40.4, 14
45.2, 27
48.7, 26
52.4, 24
55.9, 15
65.9, 25

=====

# Li2PdCl4
Simulated PXRD pattern, Cu Kα (λ = 1.5418 Å). Input: DFT lattice parameters and positions (PBE).
Neutral-atom scattering factors, no anomalous dispersion.

Crystal structure
a b c (Å): 6.5304 6.5304 7.1314
angles (deg): 90.00 90.00 90.00
Element x y z (fractional)
Li 0.0000 0.5000 0.2500
Li 0.0000 0.5000 0.7500
Li 0.5000 0.0000 0.2500
Li 0.5000 0.0000 0.7500
Pd 0.0000 0.0000 0.0000
Pd 0.5000 0.5000 0.5000
Cl 0.2478 0.2478 0.0506
Cl 0.2478 0.7522 0.9494
Cl 0.2522 0.2522 0.5506
Cl 0.2522 0.7478 0.4494
Cl 0.7478 0.2522 0.4494
Cl 0.7478 0.7478 0.5506
Cl 0.7522 0.2478 0.9494
Cl 0.7522 0.7522 0.0506

Largest 12 diffraction maxima, in order of rising 2θ, 10 to 90 degrees two-theta:
2θ (°), I/Imax
18.4, 100
19.2, 35
25.0, 47
31.7, 45
33.1, 42
39.0, 39
40.4, 13
46.9, 30
49.4, 14
51.1, 22
52.1, 13
56.4, 12

=====

# BaBi2Pd3
Simulated PXRD pattern, Cu Kα (λ = 1.5418 Å). Input: DFT lattice parameters and positions (PBE).
Neutral-atom scattering factors, no anomalous dispersion.

Crystal structure
a b c (Å): 9.3354 9.3354 11.1151
angles (deg): 105.65 105.65 28.72
Element x y z (fractional)
Ba 0.0000 0.0000 0.0000
Ba 0.1571 0.1571 0.7039
Ba 0.8429 0.8429 0.2961
Bi 0.2033 0.2033 0.0967
Bi 0.3426 0.3426 0.5431
Bi 0.4859 0.4859 0.2410
Bi 0.5141 0.5141 0.7590
Bi 0.6574 0.6574 0.4569
Bi 0.7967 0.7967 0.9033
Pd 0.0473 0.0473 0.3742
Pd 0.1997 0.1997 0.3486
Pd 0.3480 0.3480 0.0499
Pd 0.3644 0.3644 0.8044
Pd 0.5000 0.5000 0.5000
Pd 0.6356 0.6356 0.1956
Pd 0.6520 0.6520 0.9501
Pd 0.8003 0.8003 0.6514
Pd 0.9527 0.9527 0.6258

Largest 12 diffraction maxima, in order of rising 2θ, 10 to 90 degrees two-theta:
2θ (°), I/Imax
25.0, 16
27.3, 21
30.9, 100
31.4, 54
32.2, 45
37.9, 18
38.9, 58
39.0, 28
40.6, 44
41.3, 59
50.5, 21
56.3, 20

=====

# Li2Mg7Ag
Simulated PXRD pattern, Cu Kα (λ = 1.5418 Å). Input: DFT lattice parameters and positions (PBE).
Neutral-atom scattering factors, no anomalous dispersion.

Crystal structure
a b c (Å): 13.8487 13.8487 13.8487
angles (deg): 19.09 19.09 19.09
Element x y z (fractional)
Li 0.0703 0.0703 0.0703
Li 0.9297 0.9297 0.9297
Mg 0.0000 0.0000 0.0000
Mg 0.1438 0.1438 0.1438
Mg 0.2909 0.2909 0.2909
Mg 0.4311 0.4311 0.4311
Mg 0.5689 0.5689 0.5689
Mg 0.7091 0.7091 0.7091
Mg 0.8562 0.8562 0.8562
Ag 0.5000 0.5000 0.5000

Largest 12 diffraction maxima, in order of rising 2θ, 10 to 90 degrees two-theta:
2θ (°), I/Imax
13.0, 72
19.6, 25
22.5, 51
22.8, 66
24.0, 46
24.9, 55
33.0, 34
38.3, 100
39.2, 98
39.8, 28
56.0, 32
70.5, 30

=====

# LiCu2Rh4O8
Simulated PXRD pattern, Cu Kα (λ = 1.5418 Å). Input: DFT lattice parameters and positions (PBE).
Neutral-atom scattering factors, no anomalous dispersion.

Crystal structure
a b c (Å): 6.2406 6.2406 6.2406
angles (deg): 119.99 119.55 90.39
Element x y z (fractional)
Li 0.0000 0.0000 0.0000
Cu 0.2689 0.2689 0.0000
Cu 0.9106 0.4106 0.5000
Rh 0.0347 0.7835 0.2512
Rh 0.5323 0.7835 0.7488
Rh 0.5398 0.2882 0.7483
Rh 0.5398 0.7915 0.2517
O 0.3032 0.0160 0.7128
O 0.3032 0.5904 0.2872
O 0.3093 0.0217 0.2876
O 0.3271 0.5488 0.7784
O 0.7341 0.0217 0.7124
O 0.7704 0.5488 0.2216
O 0.7767 0.5565 0.7797
O 0.7767 0.9970 0.2203

Largest 12 diffraction maxima, in order of rising 2θ, 10 to 90 degrees two-theta:
2θ (°), I/Imax
17.4, 100
28.6, 23
33.5, 89
33.7, 99
35.1, 22
35.3, 50
40.8, 39
41.0, 35
44.7, 27
53.7, 28
53.9, 29
59.2, 61

=====

# Hg2GeSe2S
Simulated PXRD pattern, Cu Kα (λ = 1.5418 Å). Input: DFT lattice parameters and positions (PBE).
Neutral-atom scattering factors, no anomalous dispersion.

Crystal structure
a b c (Å): 7.5058 7.5058 6.8437
angles (deg): 90.00 90.00 69.55
Element x y z (fractional)
Hg 0.0049 0.6664 0.5000
Hg 0.3336 0.9951 0.5000
Hg 0.6664 0.0049 0.0000
Hg 0.9951 0.3336 0.0000
Ge 0.3192 0.6808 0.9886
Ge 0.6808 0.3192 0.4886
Se 0.0201 0.3079 0.3942
Se 0.3079 0.0201 0.8942
Se 0.6921 0.9799 0.3942
Se 0.9799 0.6921 0.8942
S 0.2960 0.7040 0.3356
S 0.7040 0.2960 0.8356

Largest 12 diffraction maxima, in order of rising 2θ, 10 to 90 degrees two-theta:
2θ (°), I/Imax
12.6, 34
20.7, 52
24.0, 77
24.5, 53
26.0, 80
27.4, 100
35.7, 36
38.4, 87
44.1, 31
45.0, 32
46.8, 62
47.0, 64

=====

# Er7Ag2Os2
Simulated PXRD pattern, Cu Kα (λ = 1.5418 Å). Input: DFT lattice parameters and positions (PBE).
Neutral-atom scattering factors, no anomalous dispersion.

Crystal structure
a b c (Å): 6.6451 6.6451 6.9986
angles (deg): 90.00 90.00 105.79
Element x y z (fractional)
Er 0.0000 0.0000 0.0000
Er 0.0000 0.5000 0.2539
Er 0.0000 0.5000 0.7461
Er 0.5000 0.0000 0.2539
Er 0.5000 0.0000 0.7461
Er 0.5000 0.5000 0.2441
Er 0.5000 0.5000 0.7559
Ag 0.1790 0.1790 0.5000
Ag 0.8210 0.8210 0.5000
Os 0.2894 0.7106 0.0000
Os 0.7106 0.2894 0.0000

Largest 12 diffraction maxima, in order of rising 2θ, 10 to 90 degrees two-theta:
2θ (°), I/Imax
12.6, 20
21.0, 18
25.6, 42
27.9, 32
29.1, 31
33.8, 52
34.0, 21
37.9, 43
38.1, 100
45.2, 20
52.3, 19
63.7, 17

=====

# LaNd5Cd3
Simulated PXRD pattern, Cu Kα (λ = 1.5418 Å). Input: DFT lattice parameters and positions (PBE).
Neutral-atom scattering factors, no anomalous dispersion.

Crystal structure
a b c (Å): 9.5091 9.5091 7.1507
angles (deg): 90.00 90.00 120.00
Element x y z (fractional)
La 0.0000 0.0000 0.0000
La 0.0000 0.0000 0.5000
Nd 0.0000 0.3323 0.2500
Nd 0.0000 0.6677 0.7500
Nd 0.3323 0.0000 0.2500
Nd 0.3323 0.3323 0.7500
Nd 0.3333 0.6667 0.0000
Nd 0.3333 0.6667 0.5000
Nd 0.6667 0.3333 0.0000
Nd 0.6667 0.3333 0.5000
Nd 0.6677 0.0000 0.7500
Nd 0.6677 0.6677 0.2500
Cd 0.0000 0.3370 0.7500
Cd 0.0000 0.6630 0.2500
Cd 0.3370 0.0000 0.7500
Cd 0.3370 0.3370 0.2500
Cd 0.6630 0.0000 0.2500
Cd 0.6630 0.6630 0.7500

Largest 12 diffraction maxima, in order of rising 2θ, 10 to 90 degrees two-theta:
2θ (°), I/Imax
31.3, 100
32.6, 98
41.5, 9
45.8, 35
51.1, 9
57.4, 35
58.2, 18
61.9, 30
68.3, 11
77.1, 15
81.1, 14
83.7, 6

=====

# Tb6NdDyHo2
Simulated PXRD pattern, Cu Kα (λ = 1.5418 Å). Input: DFT lattice parameters and positions (PBE).
Neutral-atom scattering factors, no anomalous dispersion.

Crystal structure
a b c (Å): 8.7762 8.7762 9.6415
angles (deg): 94.22 94.22 117.74
Element x y z (fractional)
Tb 0.0247 0.5725 0.1824
Tb 0.1193 0.7512 0.5559
Tb 0.2488 0.8807 0.9441
Tb 0.2928 0.5037 0.3786
Tb 0.4275 0.9753 0.3176
Tb 0.4963 0.7072 0.1214
Tb 0.5037 0.2928 0.8786
Tb 0.5725 0.0247 0.6824
Tb 0.7072 0.4963 0.6214
Tb 0.7512 0.1193 0.0559
Tb 0.8807 0.2488 0.4441
Tb 0.9753 0.4275 0.8176
Nd 0.4060 0.5940 0.7500
Nd 0.5940 0.4060 0.2500
Dy 0.0243 0.9757 0.2500
Dy 0.9757 0.0243 0.7500
Ho 0.1928 0.2954 0.0440
Ho 0.2954 0.1928 0.5440
Ho 0.7046 0.8072 0.4560
Ho 0.8072 0.7046 0.9560

Largest 12 diffraction maxima, in order of rising 2θ, 10 to 90 degrees two-theta:
2θ (°), I/Imax
27.9, 13
28.6, 39
30.5, 43
30.6, 58
31.4, 43
31.6, 100
32.4, 24
33.7, 44
34.3, 15
38.1, 18
53.3, 20
60.5, 17

=====

# MnRe3B2
Simulated PXRD pattern, Cu Kα (λ = 1.5418 Å). Input: DFT lattice parameters and positions (PBE).
Neutral-atom scattering factors, no anomalous dispersion.

Crystal structure
a b c (Å): 8.6186 8.0133 4.4819
angles (deg): 81.98 67.03 30.99
Element x y z (fractional)
Mn 0.0816 0.0816 0.9184
Mn 0.9184 0.9184 0.0816
Re 0.1646 0.1646 0.3354
Re 0.3308 0.6692 0.3308
Re 0.3354 0.3354 0.1646
Re 0.5810 0.9190 0.5810
Re 0.6692 0.3308 0.6692
Re 0.9190 0.5810 0.9190
B 0.3775 0.3775 0.6225
B 0.6225 0.6225 0.3775
B 0.6234 0.6234 0.8766
B 0.8766 0.8766 0.6234

Largest 12 diffraction maxima, in order of rising 2θ, 10 to 90 degrees two-theta:
2θ (°), I/Imax
23.1, 32
28.9, 22
37.3, 61
40.7, 100
42.0, 65
42.2, 51
44.1, 34
47.5, 31
52.9, 45
71.2, 20
73.5, 18
74.5, 17